Structure and computed powder XRD pattern of Rb2SnH6Au (a crystal structure in Alexandria, relaxed with GGA-PBE; λ = 1.5418 Å (Cu Kα)).
Intensities are scaled so that the largest is 100.

Structural model:
abc: 8.2328 8.2467 5.9117
angles: 90.00 134.03 90.00
Space group C2/m (No. 12)
Asymmetric unit:
Rb  0.0000  0.2499  0.0000 [4 per cell]
Sn  0.0000  0.0000  0.5000 [2 per cell]
H  0.0000  0.2724  0.5000 [4 per cell]
H  0.2261  0.5000  0.5001 [4 per cell]
H  0.2366  0.5000  0.9733 [4 per cell]
Au  0.0000  0.5000  0.5000 [2 per cell]

Peak list (6 most intense, 2θ = 5–70°, in order of rising 2θ)
- 2θ = 30.21°, I = 100
- 2θ = 30.69°, I = 48
- 2θ = 42.54°, I = 10
- 2θ = 43.95°, I = 19
- 2θ = 53.36°, I = 20
- 2θ = 54.24°, I = 29

Structure and computed powder XRD pattern of La2Pr5Hg (a crystal structure in Alexandria, relaxed with GGA-PBE; λ = 1.5418 Å (Cu Kα)).
Intensities are scaled so that the largest is 100.

Structural model:
abc: 10.2218 10.3013 10.2208
angles: 90.00 90.00 90.00
Space group Fmm2 (No. 42)
Asymmetric unit:
La  0.2493  0.0000  0.0000 [8 per cell]
Pr  0.0000  0.0000  0.7500 [4 per cell]
Pr  0.0000  0.2491  0.4998 [8 per cell]
Pr  0.2500  0.2500  0.2499 [8 per cell]
Hg  0.0000  0.0000  0.2501 [4 per cell]

Peak list (6 most intense, 2θ = 5–70°, in order of rising 2θ)
- 2θ = 30.21°, I = 100
- 2θ = 34.84°, I = 17
- 2θ = 35.12°, I = 34
- 2θ = 50.30°, I = 24
- 2θ = 59.62°, I = 15
- 2θ = 59.99°, I = 29